No. 1
Structure and computed powder XRD pattern of AcPm3Nd (a DFT-relaxed cell (GGA-PBE, Alexandria); Cu Kα (weighted mean of Kα1 and Kα2)).
Kinematic intensities with the Lorentz-polarization factor, no thermal factor.

The 6 most intense peaks (2θ from 10° to 90°), by intensity:
2θ (°)	I/Imax
31.21	100
31.27	66
29.56	51
31.41	33
27.42	32
57.73	23

Crystal structure
Cell: 3.7622 8.8846 11.5658 Å, 104.94 99.28 90.14°
Space group P-1 (No. 2)
Symmetry-distinct sites (fractional):
Ac (0.2133, 0.3094, 0.4307) (multiplicity 2)
Pm (0.1821, 0.8817, 0.3601) (multiplicity 2)
Pm (0.3874, 0.4823, 0.7727) (multiplicity 2)
Pm (0.4168, 0.9237, 0.8393) (multiplicity 2)
Nd (0.0156, 0.7165, 0.0331) (multiplicity 2)

***

No. 2
Structure and computed powder XRD pattern of La2PmPuP4 (a DFT-relaxed cell (GGA-PBE, Alexandria); Cu Kα (weighted mean of Kα1 and Kα2)).
Kinematic intensities with the Lorentz-polarization factor, no thermal factor.

The 6 most intense peaks (2θ from 10° to 90°), by intensity:
2θ (°)	I/Imax
30.33	100
26.19	88
43.43	74
51.42	41
53.86	20
71.56	17

Crystal structure
Cell: 7.2060 4.1723 7.2199 Å, 90.00 109.46 90.00°
Space group P2/m (No. 10)
Symmetry-distinct sites (fractional):
La (0.0000, 0.0000, 0.0000) (multiplicity 1)
La (0.5000, 0.5000, 0.0000) (multiplicity 1)
Pm (0.0000, 0.5000, 0.5000) (multiplicity 1)
Pu (0.5000, 0.0000, 0.5000) (multiplicity 1)
P (0.2521, 0.0000, 0.7391) (multiplicity 2)
P (0.2612, 0.5000, 0.2660) (multiplicity 2)

***

No. 3
Structure and computed powder XRD pattern of Ba3SnTe4 (a DFT-relaxed cell (GGA-PBE, Alexandria); Cu Kα (weighted mean of Kα1 and Kα2)).
Kinematic intensities with the Lorentz-polarization factor, no thermal factor.

The 6 most intense peaks (2θ from 10° to 90°), by intensity:
2θ (°)	I/Imax
25.64	100
36.58	78
59.50	37
45.21	28
65.85	27
83.47	15

Crystal structure
Cell: 4.9114 4.9114 13.9056 Å, 90.00 90.00 90.00°
Space group P4/mmm (No. 123)
Symmetry-distinct sites (fractional):
Ba (0.0000, 0.0000, 0.0000) (multiplicity 1)
Ba (0.5000, 0.5000, 0.2554) (multiplicity 2)
Sn (0.0000, 0.0000, 0.5000) (multiplicity 1)
Te (0.0000, 0.0000, 0.2607) (multiplicity 2)
Te (0.5000, 0.5000, 0.0000) (multiplicity 1)
Te (0.5000, 0.5000, 0.5000) (multiplicity 1)